Calculated powder XRD pattern of ZrU2Pd2S6 for Cu Kα X-rays, from a structure optimized by DFT (GGA-PBE).
Lines closer than 0.1° are merged.

Structural model:
```
11
Lattice="6.518 0.000 0.000 -3.259 5.645 0.000 0.000 0.000 6.180" Properties=species:S:1:pos:R:3 pbc="T T T"
Zr 0.000 0.000 0.000
U 0.000 3.763 0.000
U 3.259 1.882 0.000
Pd 0.000 3.763 3.090
Pd 3.259 1.882 3.090
S -1.065 1.844 1.543
S -2.194 3.800 4.637
S 2.130 0.000 1.543
S 1.065 1.844 4.637
S 4.388 0.000 4.637
S 2.194 3.800 1.543
```

Principal peaks in the range 10 to 80 degrees two-theta, sorted by position:
hkl, 2θ (°), I (rel.)
0 0 1, 14.3, 29
1 0 0, 15.7, 38
1 1 0, 27.4, 82
2 -1 1, 31.0, 38
2 -1 2, 40.2, 100
3 0 0, 48.4, 36
2 2 2, 64.7, 25
1 1 4, 67.0, 18